Hf3Ge2: simulated XRD peak list (Cu Kα (λ = 1.5418 Å)), based on DFT lattice parameters and positions (GGA-PBE).
Lines closer than 0.1° are merged.

Most intense lines, 10 to 80 degrees two-theta, low angle first:
- 2θ = 29.89°, d 2.989, I = 225
- 2θ = 34.85°, d 2.574, I = 540
- 2θ = 37.11°, d 2.423, I = 1000
- 2θ = 39.78°, d 2.266, I = 543
- 2θ = 49.22°, d 1.851, I = 188
- 2θ = 65.07°, d 1.434, I = 257

```
data_Hf3Ge2
_cell_length_a 7.165
_cell_length_b 7.165
_cell_length_c 3.702
_cell_angle_alpha 90.00
_cell_angle_beta 90.00
_cell_angle_gamma 90.00
_symmetry_space_group_name_H-M 'P 4/m b m'
_symmetry_Int_Tables_number 127
_symmetry_space_group_name_Hall '-P 4 2ab'
loop_
_atom_site_label
_atom_site_type_symbol
_atom_site_fract_x
_atom_site_fract_y
_atom_site_fract_z
_atom_site_occupancy
Hf1 Hf 0.000 0.000 0.000 1
Hf2 Hf 0.170 0.330 0.500 1
Ge1 Ge 0.131 0.631 0.000 1
```

***

NaMo3Se4: simulated XRD peak list (Cu Kα (λ = 1.5418 Å)), based on DFT lattice parameters and positions (GGA-PBE).
Lines closer than 0.1° are merged.

Most intense lines, 10 to 80 degrees two-theta, low angle first:
- 2θ = 12.44°, d 7.118, I = 519
- 2θ = 12.73°, d 6.954, I = 1000
- 2θ = 41.13°, d 2.195, I = 309
- 2θ = 41.23°, d 2.189, I = 193
- 2θ = 44.59°, d 2.032, I = 259
- 2θ = 44.87°, d 2.020, I = 177

```
data_NaMo3Se4
_cell_length_a 7.063
_cell_length_b 7.100
_cell_length_c 7.128
_cell_angle_alpha 92.60
_cell_angle_beta 91.05
_cell_angle_gamma 100.63
_symmetry_space_group_name_H-M 'P -1'
_symmetry_Int_Tables_number 2
loop_
_symmetry_equiv_pos_as_xyz
'x,y,z'
'-x,-y,-z'
loop_
_atom_site_label
_atom_site_type_symbol
_atom_site_fract_x
_atom_site_fract_y
_atom_site_fract_z
_atom_site_occupancy
Na1 Na 0.093 0.331 0.056 1
Mo1 Mo 0.250 0.894 0.556 1
Mo2 Mo 0.412 0.047 0.250 1
Mo3 Mo 0.462 0.256 0.590 1
Se1 Se 0.144 0.196 0.411 1
Se2 Se 0.214 0.706 0.234 1
Se3 Se 0.299 0.088 0.878 1
Se4 Se 0.379 0.613 0.720 1
```

***

Cr3Te4: simulated XRD peak list (Cu Kα (λ = 1.5418 Å)), based on DFT lattice parameters and positions (GGA-PBE).
Lines closer than 0.1° are merged.

Most intense lines, 10 to 80 degrees two-theta, low angle first:
- 2θ = 29.02°, d 3.077, I = 357
- 2θ = 29.27°, d 3.051, I = 1000
- 2θ = 29.62°, d 3.015, I = 634
- 2θ = 29.73°, d 3.005, I = 516
- 2θ = 38.68°, d 2.328, I = 389
- 2θ = 45.03°, d 2.013, I = 578

```
data_Cr3Te4
_cell_length_a 14.045
_cell_length_b 4.014
_cell_length_c 6.984
_cell_angle_alpha 90.00
_cell_angle_beta 118.23
_cell_angle_gamma 90.00
_symmetry_space_group_name_H-M 'C 1 2/m 1'
_symmetry_Int_Tables_number 12
loop_
_symmetry_equiv_pos_as_xyz
'x,y,z'
'-x,-y,-z'
'-x,y,-z'
'x,-y,z'
'x+1/2,y+1/2,z'
'-x+1/2,-y+1/2,-z'
'-x+1/2,y+1/2,-z'
'x+1/2,-y+1/2,z'
loop_
_atom_site_label
_atom_site_type_symbol
_atom_site_fract_x
_atom_site_fract_y
_atom_site_fract_z
_atom_site_occupancy
Cr1 Cr 0.000 0.000 0.000 1
Cr2 Cr 0.239 0.500 0.720 1
Te1 Te 0.121 0.000 0.450 1
Te2 Te 0.134 0.500 0.975 1
```

***

LiCuPO4: simulated XRD peak list (Cu Kα (λ = 1.5418 Å)), based on DFT lattice parameters and positions (GGA-PBE).
Lines closer than 0.1° are merged.

Most intense lines, 10 to 80 degrees two-theta, low angle first:
- 2θ = 19.18°, d 4.627, I = 435
- 2θ = 20.71°, d 4.288, I = 866
- 2θ = 23.71°, d 3.752, I = 534
- 2θ = 33.08°, d 2.708, I = 971
- 2θ = 34.03°, d 2.634, I = 997
- 2θ = 34.48°, d 2.601, I = 1000

```
data_LiCuPO4
_cell_length_a 4.875
_cell_length_b 9.254
_cell_length_c 7.609
_cell_angle_alpha 90.00
_cell_angle_beta 122.62
_cell_angle_gamma 90.00
_symmetry_space_group_name_H-M 'P 1 21/c 1'
_symmetry_Int_Tables_number 14
loop_
_symmetry_equiv_pos_as_xyz
'x,y,z'
'-x,-y,-z'
'-x,y+1/2,-z+1/2'
'x,-y+1/2,z+1/2'
loop_
_atom_site_label
_atom_site_type_symbol
_atom_site_fract_x
_atom_site_fract_y
_atom_site_fract_z
_atom_site_occupancy
Li1 Li 0.155 0.149 0.181 1
Cu1 Cu 0.000 0.000 0.500 1
Cu2 Cu 0.500 0.000 0.000 1
P1 P 0.354 0.674 0.819 1
O1 O 0.054 0.654 0.837 1
O2 O 0.269 0.595 0.614 1
O3 O 0.324 0.119 0.489 1
O4 O 0.404 0.660 0.300 1
```